Theoretical powder diffractogram
Compound: Li2Ca3N6
Radiation: Cu Kα (λ = 1.5418 Å)
Structure: a cell relaxed with GGA-PBE

Atomic structure:
```
data_Li2Ca3N6
_symmetry_space_group_name_H-M 'C m c m'
_symmetry_Int_Tables_number 63
_symmetry_space_group_name_Hall '-C 2c 2'
_cell_length_a 14.1338
_cell_length_b 8.1553
_cell_length_c 4.8253
_cell_angle_alpha 90.00
_cell_angle_beta 90.00
_cell_angle_gamma 90.00
loop_
_atom_site_label
_atom_site_fract_x
_atom_site_fract_y
_atom_site_fract_z
Li1 0.1668 0.0000 0.0000
Ca1 0.0000 0.1775 0.2500
Ca2 0.1612 0.3388 0.7500
N1 0.0464 0.1098 0.7500
N2 0.1721 0.2346 0.2500
N3 0.2181 0.3743 0.2500
```

Main lines, by angle (2θ = 5–70°):
d (Å), 2theta, Rel. int., index
7.065, 12.53, 26, 2 0 0
4.079, 21.79, 100, 3 1 0
3.115, 28.66, 56, 0 2 1
2.413, 37.27, 51, 0 0 2
2.355, 38.22, 78, 6 0 0
2.336, 38.53, 27, 5 1 1
2.077, 43.58, 43, 3 1 2
1.879, 48.46, 54, 6 2 1
1.685, 54.45, 36, 6 0 2
1.469, 63.33, 36, 6 4 1